[1]
Calculated powder diffractogram of Dy3Zn2SiNi9 for a wavelength of 1.5418 Å, from a crystal structure in Alexandria, relaxed with PBE.
Neutral-atom scattering factors, no anomalous dispersion.

Crystal structure
a b c (Å): 5.996 5.996 8.137
angles (deg): 90.00 90.00 120.00
Fractional positions:
1 Dy 0.000 0.000 0.000
2 Dy 0.333 0.667 0.695
3 Dy 0.667 0.333 0.305
4 Zn 0.333 0.667 0.193
5 Zn 0.667 0.333 0.807
6 Si 0.000 0.000 0.500
7 Ni 0.000 0.500 0.000
8 Ni 0.134 0.267 0.289
9 Ni 0.134 0.866 0.289
10 Ni 0.267 0.134 0.711
11 Ni 0.500 0.000 0.000
12 Ni 0.500 0.500 0.000
13 Ni 0.733 0.866 0.289
14 Ni 0.866 0.134 0.711
15 Ni 0.866 0.733 0.711

Main lines, in order of rising 2θ (15 to 90 degrees two-theta):
2theta  d (Å)  I_rel
27.86  3.203  34
29.80  2.998  48
33.02  2.712  26
36.32  2.474  75
41.25  2.189  100
48.03  1.894  15
51.71  1.768  30
57.56  1.601  26
61.90  1.499  25
77.13  1.237  16


[2]
Calculated powder diffractogram of SmDyNi for a wavelength of 1.5418 Å, from a crystal structure in Alexandria, relaxed with PBE.
Neutral-atom scattering factors, no anomalous dispersion.

Crystal structure
a b c (Å): 14.864 3.701 8.037
angles (deg): 90.00 90.00 90.00
Fractional positions:
1 Sm 0.054 0.000 0.191
2 Sm 0.250 0.000 0.881
3 Sm 0.446 0.000 0.191
4 Sm 0.554 0.000 0.809
5 Sm 0.750 0.000 0.119
6 Sm 0.946 0.000 0.809
7 Dy 0.114 0.500 0.589
8 Dy 0.250 0.500 0.255
9 Dy 0.386 0.500 0.589
10 Dy 0.614 0.500 0.411
11 Dy 0.750 0.500 0.745
12 Dy 0.886 0.500 0.411
13 Ni 0.092 0.500 0.935
14 Ni 0.250 0.000 0.514
15 Ni 0.408 0.500 0.935
16 Ni 0.592 0.500 0.065
17 Ni 0.750 0.000 0.486
18 Ni 0.908 0.500 0.065

Main lines, in order of rising 2θ (15 to 90 degrees two-theta):
2theta  d (Å)  I_rel
26.48  3.366  22
28.60  3.121  26
32.17  2.783  100
34.00  2.637  29
34.19  2.622  20
35.11  2.556  30
36.26  2.477  19
41.60  2.171  14
49.25  1.850  17
55.20  1.664  14


[3]
Calculated powder diffractogram of Sm3DyNi for a wavelength of 1.5418 Å, from a crystal structure in Alexandria, relaxed with PBE.
Neutral-atom scattering factors, no anomalous dispersion.

Crystal structure
a b c (Å): 6.380 6.380 14.018
angles (deg): 114.51 114.51 33.55
Fractional positions:
1 Sm 0.000 0.000 0.000
2 Sm 0.045 0.045 0.597
3 Sm 0.265 0.265 0.478
4 Sm 0.622 0.622 0.842
5 Sm 0.695 0.695 0.238
6 Sm 0.831 0.831 0.721
7 Dy 0.316 0.316 0.082
8 Dy 0.480 0.480 0.354
9 Ni 0.320 0.320 0.871
10 Ni 0.989 0.989 0.209

Main lines, in order of rising 2θ (15 to 90 degrees two-theta):
2theta  d (Å)  I_rel
29.24  3.054  20
30.10  2.969  37
30.92  2.892  100
31.91  2.805  94
32.99  2.716  49
34.53  2.597  70
35.59  2.522  22
49.50  1.841  23
58.66  1.574  24
60.11  1.539  31